Structure and simulated XRD peak list of SrVBrO2 (DFT lattice parameters and positions (GGA+U); λ = 1.5418 Å (Cu Kα)).
Neutral-atom scattering factors, no anomalous dispersion.

Structural model:
Cell lengths 7.613, 4.221, 7.635 Å; angles 90.00, 119.46, 90.00 degrees
Sites, in units of the cell vectors:
Sr 0.173 0.250 0.215
Sr 0.827 0.750 0.785
V 0.107 0.250 0.663
V 0.893 0.750 0.337
Br 0.473 0.250 0.723
Br 0.527 0.750 0.277
O 0.006 0.250 0.845
O 0.064 0.750 0.621
O 0.936 0.250 0.379
O 0.994 0.750 0.155

Principal peaks in the range 5 to 70 degrees two-theta, low angle first:
| two_theta | I_rel | (hkl) |
| --- | --- | --- |
| 25.02 | 100 | 1 1 0 |
| 26.83 | 76 | 0 0 2 |
| 31.64 | 74 | 2 1 -1 |
| 34.38 | 26 | 2 1 0 |
| 36.08 | 40 | 3 0 -2 |
| 41.82 | 33 | 2 1 1 |
| 42.85 | 34 | 0 2 0 |
| 51.28 | 24 | 0 2 2 |